Record 1
The following is a theoretical X-ray diffraction stick pattern of K3NpH2O6. It was derived from DFT lattice parameters and positions (GGA-PBE), using copper Kα.
Neutral-atom scattering factors, no anomalous dispersion.

Cell lengths 10.1953, 11.1047, 6.7631 Å; angles 90.00, 90.00, 90.00 degrees
Element x y z (fractional)
K 0.0858 0.1546 0.0105
K 0.0858 0.3454 0.5105
K 0.2500 0.7500 0.0838
K 0.2500 0.7500 0.5838
K 0.4142 0.1546 0.5105
K 0.4142 0.3454 0.0105
K 0.5858 0.6546 0.9895
K 0.5858 0.8454 0.4895
K 0.7500 0.2500 0.4162
K 0.7500 0.2500 0.9162
K 0.9142 0.6546 0.4895
K 0.9142 0.8454 0.9895
Np 0.0000 0.0000 0.5000
Np 0.0000 0.5000 0.0000
Np 0.5000 0.0000 0.0000
Np 0.5000 0.5000 0.5000
H 0.2043 0.5234 0.2933
H 0.2043 0.9766 0.7933
H 0.2957 0.5234 0.7933
H 0.2957 0.9766 0.2933
H 0.7043 0.0234 0.7067
H 0.7043 0.4766 0.2067
H 0.7957 0.0234 0.2067
H 0.7957 0.4766 0.7067
O 0.0618 0.6371 0.8514
O 0.0618 0.8629 0.3514
O 0.1193 0.5630 0.2741
O 0.1193 0.9370 0.7741
O 0.1432 0.0978 0.4041
O 0.1432 0.4022 0.9041
O 0.3568 0.0978 0.9041
O 0.3568 0.4022 0.4041
O 0.3807 0.5630 0.7741
O 0.3807 0.9370 0.2741
O 0.4382 0.6371 0.3514
O 0.4382 0.8629 0.8514
O 0.5618 0.1371 0.1486
O 0.5618 0.3629 0.6486
O 0.6193 0.0630 0.7259
O 0.6193 0.4370 0.2259
O 0.6432 0.5978 0.5959
O 0.6432 0.9022 0.0959
O 0.8568 0.5978 0.0959
O 0.8568 0.9022 0.5959
O 0.8807 0.0630 0.2259
O 0.8807 0.4370 0.7259
O 0.9382 0.1371 0.6486
O 0.9382 0.3629 0.1486

Principal peaks in the range 10° ≤ 2θ ≤ 80°, by intensity:
d (Å)	I/Imax	h k l
5.026	100	1 1 1
3.094	53	1 3 1
3.755	35	2 2 0
5.098	34	2 0 0
2.929	29	3 1 1
5.552	25	0 2 0


Record 2
The following is a theoretical X-ray diffraction stick pattern of LiBH2O4. It was derived from DFT lattice parameters and positions (GGA-PBE), using copper Kα.
Neutral-atom scattering factors, no anomalous dispersion.

Cell lengths 7.1222, 7.9956, 5.1392 Å; angles 90.00, 97.54, 90.00 degrees
Element x y z (fractional)
Li 0.0953 0.1743 0.0589
Li 0.0953 0.3257 0.5589
Li 0.9047 0.6743 0.4411
Li 0.9047 0.8257 0.9411
B 0.1988 0.5296 0.0222
B 0.1988 0.9704 0.5222
B 0.8012 0.0296 0.4778
B 0.8012 0.4704 0.9778
H 0.3376 0.7172 0.2378
H 0.3376 0.7828 0.7378
H 0.3918 0.1350 0.4129
H 0.3918 0.3650 0.9129
H 0.6082 0.6350 0.0871
H 0.6082 0.8650 0.5871
H 0.6624 0.2172 0.2622
H 0.6624 0.2828 0.7622
O 0.0562 0.6207 0.8262
O 0.0562 0.8793 0.3262
O 0.1036 0.0023 0.7631
O 0.1036 0.4977 0.2631
O 0.2522 0.1270 0.4066
O 0.2522 0.3730 0.9066
O 0.3540 0.6457 0.0865
O 0.3540 0.8543 0.5865
O 0.6460 0.1457 0.4135
O 0.6460 0.3543 0.9135
O 0.7478 0.6270 0.0934
O 0.7478 0.8730 0.5934
O 0.8964 0.5023 0.7369
O 0.8964 0.9977 0.2369
O 0.9438 0.1207 0.6738
O 0.9438 0.3793 0.1738

Principal peaks in the range 10° ≤ 2θ ≤ 80°, by intensity:
d (Å)	I/Imax	h k l
4.297	100	0 1 1
7.061	99	1 0 0
2.209	21	2 0 -2
2.964	20	1 2 -1
3.479	20	1 2 0
2.259	15	2 2 1


Record 3
The following is a theoretical X-ray diffraction stick pattern of CeZnCuP2. It was derived from DFT lattice parameters and positions (GGA-PBE), using copper Kα.
Neutral-atom scattering factors, no anomalous dispersion.

Cell lengths 4.0039, 4.0039, 6.6538 Å; angles 90.00, 90.00, 120.00 degrees
Element x y z (fractional)
Ce 0.0000 0.0000 0.0000
Zn 0.6667 0.3333 0.3826
Cu 0.3333 0.6667 0.6490
P 0.3333 0.6667 0.2715
P 0.6667 0.3333 0.7463

Principal peaks in the range 10° ≤ 2θ ≤ 80°, by intensity:
d (Å)	I/Imax	h k l
3.075	100	1 0 1
2.401	60	0 1 2
2.002	45	1 1 0
1.486	20	1 1 3
1.678	17	0 2 1
1.538	14	2 0 2